Starting from a structure optimized by DFT (PBE), the X-ray powder pattern of Ce2Er2SiIr4 was computed for Cu Ka.
Intensities are scaled so that the largest is 100.

Structural model:
Lattice parameters (Å, degrees): 6.421 6.421 6.421 120.92 120.92 88.41
Positions (direct):
Ce (0.194, 0.194, 0.000)
Ce (0.806, 0.806, 0.000)
Er (0.250, 0.750, 0.500)
Er (0.750, 0.250, 0.500)
Si (0.500, 0.500, 0.000)
Ir (0.240, 0.240, 0.479)
Ir (0.240, 0.760, 0.000)
Ir (0.760, 0.240, 0.000)
Ir (0.760, 0.760, 0.521)

Main lines, by angle (2θ = 10–80°):
17.00 deg, I 5; 34.38 deg, I 100; 39.14 deg, I 15; 40.29 deg, I 39; 43.49 deg, I 7; 57.42 deg, I 19; 58.29 deg, I 13; 67.88 deg, I 7; 69.46 deg, I 25; 72.47 deg, I 9

=====

Starting from a structure optimized by DFT (PBE), the X-ray powder pattern of Mg2Ga8Pd was computed for Cu Ka.
Intensities are scaled so that the largest is 100.

Structural model:
Lattice parameters (Å, degrees): 4.311 4.311 10.920 90.00 90.00 90.00
Positions (direct):
Mg (0.000, 0.000, 0.183)
Mg (0.000, 0.000, 0.817)
Ga (0.000, 0.500, 0.000)
Ga (0.000, 0.500, 0.367)
Ga (0.000, 0.500, 0.633)
Ga (0.500, 0.000, 0.000)
Ga (0.500, 0.000, 0.367)
Ga (0.500, 0.000, 0.633)
Ga (0.500, 0.500, 0.189)
Ga (0.500, 0.500, 0.811)
Pd (0.000, 0.000, 0.500)

Main lines, by angle (2θ = 10–80°):
22.17 deg, I 19; 26.34 deg, I 20; 38.52 deg, I 100; 41.91 deg, I 48; 44.55 deg, I 9; 50.15 deg, I 12; 60.33 deg, I 8; 60.76 deg, I 15; 67.34 deg, I 11; 74.29 deg, I 27

=====

Starting from a structure optimized by DFT (PBE), the X-ray powder pattern of Rb9Ag3O2 was computed for Cu Ka.
Intensities are scaled so that the largest is 100.

Structural model:
Lattice parameters (Å, degrees): 8.207 8.207 10.120 90.00 90.00 120.00
Positions (direct):
Rb (0.000, 0.500, 0.000)
Rb (0.178, 0.357, 0.686)
Rb (0.178, 0.822, 0.686)
Rb (0.357, 0.178, 0.314)
Rb (0.500, 0.000, 0.000)
Rb (0.500, 0.500, 0.000)
Rb (0.643, 0.822, 0.686)
Rb (0.822, 0.178, 0.314)
Rb (0.822, 0.643, 0.314)
Ag (0.000, 0.000, 0.000)
Ag (0.333, 0.667, 0.345)
Ag (0.667, 0.333, 0.655)
O (0.333, 0.667, 0.835)
O (0.667, 0.333, 0.165)

Main lines, by angle (2θ = 10–80°):
26.42 deg, I 32; 26.59 deg, I 100; 30.75 deg, I 76; 43.93 deg, I 25; 44.14 deg, I 27; 52.00 deg, I 13; 52.21 deg, I 41; 54.75 deg, I 13; 70.76 deg, I 11; 72.86 deg, I 11

=====

Starting from a structure optimized by DFT (PBE), the X-ray powder pattern of Bi4Os6O19 was computed for Cu Ka.
Intensities are scaled so that the largest is 100.

Structural model:
Lattice parameters (Å, degrees): 7.897 7.897 7.897 109.47 109.47 109.47
Positions (direct):
Bi (0.000, 0.000, 0.695)
Bi (0.000, 0.695, 0.000)
Bi (0.305, 0.305, 0.305)
Bi (0.695, 0.000, 0.000)
Os (0.139, 0.639, 0.500)
Os (0.361, 0.500, 0.861)
Os (0.500, 0.139, 0.639)
Os (0.500, 0.861, 0.361)
Os (0.639, 0.500, 0.139)
Os (0.861, 0.361, 0.500)
O (0.000, 0.000, 0.000)
O (0.000, 0.321, 0.321)
O (0.000, 0.679, 0.679)
O (0.060, 0.343, 0.716)
O (0.283, 0.940, 0.656)
O (0.284, 0.627, 0.344)
O (0.321, 0.000, 0.321)
O (0.321, 0.321, 0.000)
O (0.343, 0.716, 0.060)
O (0.344, 0.284, 0.627)
O (0.373, 0.657, 0.717)
O (0.627, 0.344, 0.284)
O (0.656, 0.283, 0.940)
O (0.657, 0.717, 0.373)
O (0.679, 0.000, 0.679)
O (0.679, 0.679, 0.000)
O (0.716, 0.060, 0.343)
O (0.717, 0.373, 0.657)
O (0.940, 0.656, 0.283)

Main lines, by angle (2θ = 10–80°):
19.47 deg, I 18; 23.90 deg, I 57; 31.02 deg, I 100; 34.06 deg, I 15; 36.88 deg, I 48; 42.04 deg, I 17; 48.94 deg, I 16; 51.08 deg, I 58; 55.17 deg, I 24; 60.97 deg, I 30

=====

Starting from a structure optimized by DFT (PBE), the X-ray powder pattern of Cu2ClF2 was computed for Cu Ka.
Intensities are scaled so that the largest is 100.

Structural model:
Lattice parameters (Å, degrees): 6.335 6.335 6.335 125.30 125.30 81.03
Positions (direct):
Cu (0.284, 0.000, 0.284)
Cu (0.716, 0.000, 0.716)
Cu (0.750, 0.534, 0.784)
Cu (0.750, 0.966, 0.216)
Cl (0.314, 0.814, 0.500)
Cl (0.564, 0.564, 0.000)
F (0.471, 0.199, 0.272)
F (0.927, 0.199, 0.728)
F (0.949, 0.177, 0.228)
F (0.949, 0.721, 0.772)

Main lines, by angle (2θ = 10–80°):
17.80 deg, I 100; 35.73 deg, I 61; 36.06 deg, I 36; 37.34 deg, I 17; 44.00 deg, I 15; 44.82 deg, I 17; 49.86 deg, I 16; 57.92 deg, I 11; 59.05 deg, I 17; 66.52 deg, I 10

=====

Starting from a structure optimized by DFT (PBE), the X-ray powder pattern of CaPaCuO4 was computed for Cu Ka.
Intensities are scaled so that the largest is 100.

Structural model:
Lattice parameters (Å, degrees): 6.470 6.470 6.470 110.66 106.71 111.09
Positions (direct):
Ca (0.462, 0.212, 0.250)
Ca (0.538, 0.788, 0.750)
Pa (0.000, 0.000, 0.500)
Pa (0.000, 0.500, 0.000)
Cu (0.000, 0.500, 0.500)
Cu (0.500, 0.500, 0.000)
O (0.183, 0.749, 0.433)
O (0.184, 0.251, 0.933)
O (0.281, 0.285, 0.503)
O (0.281, 0.778, 0.997)
O (0.719, 0.222, 0.003)
O (0.719, 0.715, 0.497)
O (0.816, 0.749, 0.067)
O (0.817, 0.251, 0.567)

Main lines, by angle (2θ = 10–80°):
16.68 deg, I 100; 23.03 deg, I 30; 24.31 deg, I 23; 29.52 deg, I 88; 33.68 deg, I 89; 38.69 deg, I 19; 44.70 deg, I 40; 46.15 deg, I 30; 57.77 deg, I 20; 61.29 deg, I 19

=====

Starting from a structure optimized by DFT (PBE), the X-ray powder pattern of Sc4Te was computed for Cu Ka.
Intensities are scaled so that the largest is 100.

Structural model:
Lattice parameters (Å, degrees): 5.645 5.645 5.645 98.19 98.19 135.65
Positions (direct):
Sc (0.114, 0.689, 0.803)
Sc (0.311, 0.114, 0.426)
Sc (0.689, 0.886, 0.574)
Sc (0.886, 0.311, 0.197)
Te (0.500, 0.500, 0.000)

Main lines, by angle (2θ = 10–80°):
16.96 deg, I 15; 24.10 deg, I 26; 34.33 deg, I 100; 38.51 deg, I 37; 42.41 deg, I 17; 55.61 deg, I 19; 58.62 deg, I 20; 67.00 deg, I 24; 72.34 deg, I 12; 72.42 deg, I 10